Structure and calculated X-ray powder pattern of Er4Si9Ir13 (a cell relaxed with PBE; Cu Kα, 1.54184 Å).
Kinematic intensities with the Lorentz-polarization factor, no thermal factor.

Atomic structure:
a b c (Å): 3.951 11.007 19.005
angles (deg): 90.00 90.00 90.00
Space group Pmmn (No. 59, origin choice 2)
Asymmetric unit:
Er1 0.250 0.059 0.208
Er2 0.250 0.250 0.022
Er3 0.250 0.750 0.519
Si1 0.250 0.069 0.415
Si2 0.250 0.123 0.729
Si3 0.250 0.250 0.602
Si4 0.250 0.562 0.920
Si5 0.250 0.750 0.102
Si6 0.250 0.750 0.732
Ir1 0.250 0.061 0.539
Ir2 0.250 0.125 0.857
Ir3 0.250 0.250 0.343
Ir4 0.250 0.550 0.047
Ir5 0.250 0.566 0.665
Ir6 0.250 0.622 0.356
Ir7 0.250 0.750 0.227
Ir8 0.250 0.750 0.858

The 12 most intense peaks (2θ from 15° to 90°), by angle:
two_theta  d [Å]  I_rel  h k l
28.13  3.172  218  0 3 3
29.38  3.040  156  1 2 2
36.32  2.474  1000  1 3 3
41.13  2.195  77  1 1 7
41.32  2.185  79  0 5 1
45.93  1.976  195  2 0 0
47.56  1.912  78  1 5 1
47.74  1.905  83  0 5 5
49.82  1.830  90  0 3 9
54.73  1.677  71  2 3 3
73.74  1.285  73  1 5 11
78.64  1.217  76  3 3 3

Structure and calculated X-ray powder pattern of Zn3FeS4 (a cell relaxed with PBE; Cu Kα, 1.54184 Å).
Kinematic intensities with the Lorentz-polarization factor, no thermal factor.

Atomic structure:
a b c (Å): 3.8349 3.8349 37.7028
angles (deg): 90.00 90.00 120.00
Space group R3m (No. 160, hexagonal axes)
Asymmetric unit:
Zn1 0.0000 0.0000 0.0000
Zn2 0.0000 0.0000 0.2500
Zn3 0.0000 0.0000 0.5000
Fe1 0.0000 0.0000 0.7500
S1 0.0000 0.0000 0.0627
S2 0.0000 0.0000 0.3124
S3 0.0000 0.0000 0.5624
S4 0.0000 0.0000 0.8119

The 12 most intense peaks (2θ from 15° to 90°), by angle:
two_theta  d [Å]  I_rel  h k l
28.47  3.135  1000  1 0 4
32.99  2.715  108  0 1 8
47.30  1.922  306  1 0 16
47.41  1.917  304  1 1 0
56.10  1.639  102  0 1 20
56.22  1.636  299  0 2 4
69.21  1.357  91  0 2 16
76.31  1.248  38  1 0 28
76.44  1.246  39  2 0 20
76.57  1.244  76  2 1 4
87.94  1.110  48  0 1 32
88.22  1.108  143  3 0 0

Structure and calculated X-ray powder pattern of ReN2 (a cell relaxed with PBE; Cu Kα, 1.54184 Å).
Kinematic intensities with the Lorentz-polarization factor, no thermal factor.

Atomic structure:
a b c (Å): 2.9290 2.9290 7.7821
angles (deg): 90.00 90.00 120.00
Space group P6_3/mmc (No. 194)
Asymmetric unit:
Re1 0.3333 0.6667 0.2500
N1 0.0000 0.0000 0.0865

The 12 most intense peaks (2θ from 15° to 90°), by angle:
two_theta  d [Å]  I_rel  h k l
22.85  3.891  658  0 0 2
37.28  2.412  1000  1 0 1
42.54  2.125  294  1 0 2
46.69  1.946  102  0 0 4
50.31  1.814  430  1 0 3
59.92  1.544  108  1 0 4
63.53  1.465  176  1 1 0
68.45  1.371  208  1 1 2
71.06  1.327  155  1 0 5
76.03  1.252  128  2 0 1
82.43  1.170  125  1 1 4
85.16  1.139  98  2 0 3

Structure and calculated X-ray powder pattern of Mg6SiSb (a cell relaxed with PBE; Cu Kα, 1.54184 Å).
Kinematic intensities with the Lorentz-polarization factor, no thermal factor.

Atomic structure:
a b c (Å): 5.147 5.972 11.536
angles (deg): 90.00 90.00 90.00
Space group Amm2 (No. 38)
Asymmetric unit:
Mg1 0.000 0.000 0.000
Mg2 0.000 0.242 0.733
Mg3 0.500 0.000 0.156
Mg4 0.500 0.248 0.913
Si1 0.500 0.000 0.706
Sb1 0.000 0.000 0.472

The 12 most intense peaks (2θ from 15° to 90°), by angle:
two_theta  d [Å]  I_rel  h k l
15.36  5.768  213  0 0 2
16.72  5.303  370  0 1 1
17.23  5.147  189  1 0 0
23.16  3.840  245  1 0 2
24.09  3.694  451  1 1 1
27.59  3.233  215  0 1 3
31.01  2.884  286  0 0 4
34.86  2.574  374  2 0 0
35.69  2.516  302  1 0 4
38.18  2.357  1000  1 2 2
47.32  1.921  211  2 0 4
64.71  1.441  210  3 2 2

Structure and calculated X-ray powder pattern of Pm3Y (a cell relaxed with PBE; Cu Kα, 1.54184 Å).
Kinematic intensities with the Lorentz-polarization factor, no thermal factor.

Atomic structure:
a b c (Å): 5.148 5.148 10.270
angles (deg): 90.00 90.00 90.00
Space group I4/mmm (No. 139)
Asymmetric unit:
Pm1 0.000 0.000 0.000
Pm2 0.000 0.500 0.250
Y1 0.000 0.000 0.500

The 12 most intense peaks (2θ from 15° to 90°), by angle:
two_theta  d [Å]  I_rel  h k l
19.29  4.602  31  1 0 1
30.09  2.969  1000  1 1 2
34.89  2.572  506  2 0 0
50.17  1.818  360  2 2 0
59.58  1.552  285  3 1 2
59.70  1.549  142  1 1 6
62.56  1.485  123  2 2 4
73.61  1.287  38  4 0 0
81.52  1.181  58  3 3 2
81.62  1.180  116  3 1 6
84.12  1.151  108  4 2 0
84.30  1.149  54  2 0 8

Structure and calculated X-ray powder pattern of Tb3ZnAu5 (a cell relaxed with PBE; Cu Kα, 1.54184 Å).
Kinematic intensities with the Lorentz-polarization factor, no thermal factor.

Atomic structure:
a b c (Å): 7.535 15.195 13.371
angles (deg): 90.00 90.00 90.00
Space group Cmcm (No. 63)
Asymmetric unit:
Tb1 0.000 0.071 0.250
Tb2 0.000 0.118 0.550
Tb3 0.000 0.320 0.750
Tb4 0.000 0.370 0.038
Zn1 0.000 0.279 0.250
Zn2 0.000 0.467 0.250
Au1 0.192 0.127 0.750
Au2 0.215 0.217 0.103
Au3 0.216 0.472 0.605

The 12 most intense peaks (2θ from 15° to 90°), by angle:
two_theta  d [Å]  I_rel  h k l
33.30  2.691  1000  2 2 3
33.50  2.675  415  2 4 0
35.78  2.509  529  0 4 4
35.92  2.500  565  2 0 4
36.14  2.486  908  0 6 1
40.07  2.250  204  3 3 0
40.48  2.228  292  0 0 6
40.99  2.202  258  0 6 3
43.33  2.088  226  2 4 4
48.32  1.884  199  4 0 0
66.10  1.414  308  2 6 7
75.40  1.261  196  2 0 10

Structure and calculated X-ray powder pattern of InH5NOF4 (a cell relaxed with PBE; Cu Kα, 1.54184 Å).
Kinematic intensities with the Lorentz-polarization factor, no thermal factor.

Atomic structure:
a b c (Å): 5.888 6.340 6.854
angles (deg): 69.40 88.70 79.37
Space group P-1 (No. 2)
Asymmetric unit:
In1 0.066 0.414 0.277
H1 0.256 0.865 0.560
H2 0.292 0.095 0.867
H3 0.380 0.812 0.029
H4 0.394 0.617 0.717
H5 0.460 0.065 0.185
N1 0.434 0.964 0.934
O1 0.247 0.732 0.694
F1 0.115 0.310 0.617
F2 0.123 0.319 0.991
F3 0.283 0.079 0.365
F4 0.362 0.568 0.215

The 12 most intense peaks (2θ from 15° to 90°), by angle:
two_theta  d [Å]  I_rel  h k l
15.20  5.828  861  0 1 0
15.33  5.781  846  1 0 0
19.48  4.556  1000  1 1 0
21.16  4.198  226  1 0 1
23.63  3.765  189  1 -1 0
24.13  3.689  191  -1 1 1
26.58  3.353  461  0 1 2
27.84  3.204  259  0 0 2
31.86  2.809  376  2 1 0
35.23  2.548  191  -1 2 1
39.56  2.278  227  2 2 0
43.87  2.064  194  1 -2 1

Structure and calculated X-ray powder pattern of Mg3ZnO4 (a cell relaxed with PBE; Cu Kα, 1.54184 Å).
Kinematic intensities with the Lorentz-polarization factor, no thermal factor.

Atomic structure:
a b c (Å): 3.026 3.026 8.553
angles (deg): 90.00 90.00 90.00
Space group P4/mmm (No. 123)
Asymmetric unit:
Mg1 0.000 0.000 0.000
Mg2 0.500 0.500 0.250
Zn1 0.000 0.000 0.500
O1 0.000 0.000 0.247
O2 0.500 0.500 0.000
O3 0.500 0.500 0.500

The 12 most intense peaks (2θ from 15° to 90°), by angle:
two_theta  d [Å]  I_rel  h k l
20.77  4.277  98  0 0 2
29.52  3.026  84  1 0 0
31.36  2.852  177  0 0 3
36.37  2.470  314  1 0 2
42.24  2.139  1000  1 1 0
43.61  2.075  119  1 0 3
47.51  1.914  44  1 1 2
53.55  1.711  39  1 1 3
61.28  1.513  576  2 0 0
70.45  1.337  49  2 0 3
73.39  1.290  154  1 0 6
77.24  1.235  176  2 0 4

Structure and calculated X-ray powder pattern of EuAu3 (a cell relaxed with PBE; Cu Kα, 1.54184 Å).
Kinematic intensities with the Lorentz-polarization factor, no thermal factor.

Atomic structure:
a b c (Å): 6.5369 6.5369 4.9104
angles (deg): 90.00 90.00 120.00
Space group P6_3/mmc (No. 194)
Asymmetric unit:
Eu1 0.3333 0.6667 0.2500
Au1 0.1521 0.3042 0.7500

The 12 most intense peaks (2θ from 15° to 90°), by angle:
two_theta  d [Å]  I_rel  h k l
15.65  5.661  57  1 0 0
31.61  2.831  198  2 0 0
36.64  2.453  1000  0 0 2
49.12  1.855  117  2 0 2
51.91  1.761  34  3 0 1
56.29  1.634  141  2 2 0
65.93  1.417  170  2 0 3
69.05  1.360  263  2 2 2
72.80  1.299  26  3 2 0
77.91  1.226  28  4 0 2
84.37  1.148  28  3 2 2
86.39  1.126  25  2 0 4

Structure and calculated X-ray powder pattern of Ba2C4O9 (a cell relaxed with PBE; Cu Kα, 1.54184 Å).
Kinematic intensities with the Lorentz-polarization factor, no thermal factor.

Atomic structure:
a b c (Å): 6.314 8.768 9.552
angles (deg): 64.42 84.64 83.43
Space group P-1 (No. 2)
Asymmetric unit:
Ba1 0.210 0.141 0.072
Ba2 0.280 0.530 0.301
C1 0.138 0.221 0.688
C2 0.188 0.587 0.816
C3 0.330 0.684 0.872
C4 0.386 0.209 0.693
O1 0.009 0.365 0.197
O2 0.030 0.143 0.816
O3 0.056 0.314 0.560
O4 0.086 0.989 0.468
O5 0.239 0.741 0.965
O6 0.280 0.461 0.796
O7 0.469 0.121 0.824
O8 0.475 0.309 0.175
O9 0.488 0.297 0.568

The 12 most intense peaks (2θ from 15° to 90°), by angle:
two_theta  d [Å]  I_rel  h k l
17.92  4.950  450  1 0 -1
18.81  4.718  383  1 -1 0
22.40  3.969  588  1 1 2
23.50  3.786  705  1 2 1
24.78  3.593  513  -1 1 2
25.70  3.467  482  1 2 0
26.25  3.395  442  -1 2 1
27.53  3.240  1000  0 1 -2
39.37  2.289  373  -2 2 2
41.67  2.167  405  2 0 3
42.35  2.134  364  1 4 2
45.67  1.987  389  3 1 2

Structure and calculated X-ray powder pattern of Pm2AgRu (a cell relaxed with PBE; Cu Kα, 1.54184 Å).
Kinematic intensities with the Lorentz-polarization factor, no thermal factor.

Atomic structure:
a b c (Å): 7.211 7.211 7.211
angles (deg): 90.00 90.00 90.00
Space group Fm-3m (No. 225)
Asymmetric unit:
Pm1 0.250 0.250 0.250
Ag1 0.000 0.000 0.000
Ru1 0.000 0.000 0.500

The 9 most intense peaks (2θ from 15° to 90°), by angle:
two_theta  d [Å]  I_rel  h k l
24.69  3.605  28  2 0 0
35.20  2.549  1000  2 2 0
43.48  2.082  9  2 2 2
50.64  1.803  175  4 0 0
57.13  1.612  13  4 2 0
63.17  1.472  357  4 2 2
74.43  1.275  110  4 4 0
79.81  1.202  7  6 0 0
85.09  1.140  157  6 2 0